1.
Starting from a crystal structure in the Materials Project, relaxed with PBE, the XRD peak list of La3TiAlS7 was calculated for copper Kα.
Lines closer than 0.1° are merged.

Principal peaks in the range 5 to 70 degrees two-theta, sorted by position:
(hkl), 2theta, Rel. int.
1 0 1, 18.10, 45
1 1 1, 22.89, 53
2 0 1, 24.95, 100
1 2 0, 26.15, 52
3 1 1, 39.19, 68
1 2 2, 40.70, 48

Crystal structure
```
data_La3TiAlS7
_symmetry_space_group_name_H-M 'P 63'
_symmetry_Int_Tables_number 173
_cell_length_a 10.4123
_cell_length_b 10.4123
_cell_length_c 5.8375
_cell_angle_alpha 90.00
_cell_angle_beta 90.00
_cell_angle_gamma 120.00
loop_
_symmetry_equiv_pos_as_xyz
'x,y,z'
'x-y,x,z+1/2'
'-y,x-y,z'
'-x,-y,z+1/2'
'-x+y,-x,z'
'y,-x+y,z+1/2'
loop_
_atom_site_label
_atom_site_type_symbol
_atom_site_fract_x
_atom_site_fract_y
_atom_site_fract_z
La1 La 0.1296 0.3729 0.0000
Ti1 Ti 0.0000 0.0000 0.2600
Al1 Al 0.3333 0.6667 0.4154
S1 S 0.0789 0.2295 0.5115
S2 S 0.1053 0.5910 0.2710
S3 S 0.3333 0.6667 0.7930
```

---

2.
Starting from a crystal structure in the Materials Project, relaxed with PBE, the XRD peak list of La3AlVS7 was calculated for copper Kα.
Lines closer than 0.1° are merged.

Principal peaks in the range 5 to 70 degrees two-theta, sorted by position:
(hkl), 2theta, Rel. int.
1 0 1, 17.87, 43
2 0 1, 24.98, 100
1 2 0, 26.57, 41
3 0 1, 33.79, 43
2 0 2, 36.20, 43
3 1 1, 39.58, 51

Crystal structure
```
data_La3AlVS7
_symmetry_space_group_name_H-M 'P 63'
_symmetry_Int_Tables_number 173
_cell_length_a 10.2507
_cell_length_b 10.2507
_cell_length_c 5.9848
_cell_angle_alpha 90.00
_cell_angle_beta 90.00
_cell_angle_gamma 120.00
loop_
_symmetry_equiv_pos_as_xyz
'x,y,z'
'x-y,x,z+1/2'
'-y,x-y,z'
'-x,-y,z+1/2'
'-x+y,-x,z'
'y,-x+y,z+1/2'
loop_
_atom_site_label
_atom_site_type_symbol
_atom_site_fract_x
_atom_site_fract_y
_atom_site_fract_z
La1 La 0.1386 0.3731 0.0000
Al1 Al 0.3333 0.6667 0.4220
V1 V 0.0000 0.0000 0.2846
S1 S 0.0842 0.2248 0.5368
S2 S 0.1013 0.5830 0.2778
S3 S 0.3333 0.6667 0.7930
```

---

3.
Starting from a crystal structure in the Materials Project, relaxed with PBE, the XRD peak list of LaAlSi was calculated for copper Kα.
Lines closer than 0.1° are merged.

Principal peaks in the range 5 to 70 degrees two-theta, sorted by position:
(hkl), 2theta, Rel. int.
1 0 1, 21.41, 36
1 0 3, 27.47, 50
1 1 2, 31.68, 100
1 0 5, 36.89, 42
2 0 0, 41.77, 32
2 1 5, 56.94, 23

Crystal structure
```
data_LaAlSi
_symmetry_space_group_name_H-M 'I 41 m d'
_symmetry_Int_Tables_number 109
_symmetry_space_group_name_Hall 'I 4bw -2'
_cell_length_a 4.3248
_cell_length_b 4.3248
_cell_length_c 14.7448
_cell_angle_alpha 90.00
_cell_angle_beta 90.00
_cell_angle_gamma 90.00
loop_
_atom_site_label
_atom_site_type_symbol
_atom_site_fract_x
_atom_site_fract_y
_atom_site_fract_z
La1 La 0.0000 0.0000 0.0000
Al1 Al 0.0000 0.0000 0.5833
Si1 Si 0.0000 0.0000 0.4167
```